Computed X-ray powder pattern of BaHo2CrN4 for Cu Kα, 1.54184 Å, from a GGA-PBE-relaxed structure.
No peak broadening, texture or thermal motion is included.

Peak list (12 most intense, 2θ from 10° to 90°, by angle)
- 2θ = 27.1°, I 63.7, (0 2 3)
- 2θ = 29.3°, I 44.8, (0 4 0)
- 2θ = 30.6°, I 34.0, (0 0 4)
- 2θ = 30.9°, I 100.0, (1 1 2)
- 2θ = 34.0°, I 20.7, (1 3 0)
- 2θ = 34.9°, I 41.5, (1 3 1)
- 2θ = 37.4°, I 58.8, (1 3 2)
- 2θ = 47.5°, I 24.5, (1 1 5)
- 2θ = 48.2°, I 18.5, (1 5 2)
- 2θ = 51.5°, I 21.6, (1 5 3)
- 2θ = 52.3°, I 29.1, (1 3 5)
- 2θ = 52.9°, I 18.4, (2 0 0)

Atomic structure:
Unit cell a=3.459 b=12.191 c=11.701 alpha=90.00 beta=90.00 gamma=90.00
Space group Cmcm (No. 63)
Symmetry-distinct sites (fractional):
Ba1 0.000 0.087 0.250 [4 per cell]
Ho1 0.000 0.370 0.042 [8 per cell]
Cr1 0.000 0.180 0.750 [4 per cell]
N1 0.000 0.000 0.000 [4 per cell]
N2 0.000 0.256 0.619 [8 per cell]
N3 0.000 0.395 0.250 [4 per cell]


Computed X-ray powder pattern of BaCrIr for Cu Kα, 1.54184 Å, from a GGA-PBE-relaxed structure.
No peak broadening, texture or thermal motion is included.

Peak list (12 most intense, 2θ from 10° to 90°, by angle)
- 2θ = 17.2°, I 10.2, (0 0 1)
- 2θ = 24.4°, I 14.4, (1 0 0)
- 2θ = 30.0°, I 100.0, (1 0 1)
- 2θ = 34.8°, I 20.3, (0 0 2)
- 2θ = 42.9°, I 40.7, (1 1 0)
- 2θ = 53.3°, I 20.6, (2 0 1)
- 2θ = 56.4°, I 30.0, (1 1 2)
- 2θ = 59.4°, I 14.5, (1 0 3)
- 2θ = 70.7°, I 18.7, (2 1 1)
- 2θ = 76.1°, I 7.1, (2 0 3)
- 2θ = 78.7°, I 9.6, (3 0 0)
- 2θ = 89.0°, I 17.2, (3 0 2)

Atomic structure:
Unit cell a=4.2135 b=4.2135 c=5.1566 alpha=90.00 beta=90.00 gamma=120.00
Space group P-6m2 (No. 187)
Symmetry-distinct sites (fractional):
Ba1 0.0000 0.0000 0.0000 [1 per cell]
Cr1 0.6667 0.3333 0.5000 [1 per cell]
Ir1 0.3333 0.6667 0.5000 [1 per cell]